[1]
Computed PXRD pattern
Compound: MgUZnIn
Radiation: Cu Kα
Structure: a cell relaxed with GGA-PBE
No peak broadening, texture or thermal motion is included.

Structure:
Cell: 7.1281 7.1281 7.1281 Å, 90.00 90.00 90.00°
Space group F-43m (No. 216)
Asymmetric unit:
Mg: 0.0000 0.0000 0.0000
U: 0.0000 0.0000 0.5000
Zn: 0.2500 0.2500 0.2500
In: 0.2500 0.2500 0.7500

Principal peaks in the range 2θ from 10° to 80°, sorted by position:
2θ (°)	d [Å]	I_rel
21.59	4.115	50
35.62	2.520	100
42.04	2.149	28
51.27	1.782	18
56.25	1.635	12
63.99	1.455	36
75.44	1.260	11
79.56	1.205	10

[2]
Computed PXRD pattern
Compound: Y6MgIn2
Radiation: Cu Kα
Structure: a cell relaxed with GGA-PBE
No peak broadening, texture or thermal motion is included.

Structure:
Cell: 6.0379 9.1067 10.9449 Å, 90.00 117.32 90.00°
Space group P2_1/c (No. 14)
Asymmetric unit:
Y: 0.0229 0.1619 0.4341
Y: 0.3856 0.6761 0.4318
Y: 0.4089 0.0274 0.3130
Mg: 0.0000 0.0000 0.0000
In: 0.1680 0.1348 0.7509

Principal peaks in the range 2θ from 10° to 80°, sorted by position:
2θ (°)	d [Å]	I_rel
29.77	3.001	53
31.54	2.836	45
33.07	2.709	100
33.61	2.666	31
33.95	2.641	64
34.22	2.620	47
34.85	2.574	32
51.62	1.771	29

[3]
Computed PXRD pattern
Compound: Y5MgIn6
Radiation: Cu Kα
Structure: a cell relaxed with GGA-PBE
No peak broadening, texture or thermal motion is included.

Structure:
Cell: 16.7090 7.4681 5.2813 Å, 90.00 107.76 90.00°
Space group C2/m (No. 12)
Asymmetric unit:
Y: 0.0000 0.0000 0.0000
Y: 0.1644 0.5000 0.6640
Y: 0.1670 0.0000 0.6659
Mg: 0.0000 0.5000 0.0000
In: 0.0000 0.2571 0.5000
In: 0.1630 0.2553 0.1623

Principal peaks in the range 2θ from 10° to 80°, sorted by position:
2θ (°)	d [Å]	I_rel
33.81	2.651	100
33.99	2.637	99
48.36	1.882	12
48.78	1.867	11
60.34	1.534	12
60.54	1.529	12
60.71	1.525	35
60.93	1.521	12

[4]
Computed PXRD pattern
Compound: YMg3In3
Radiation: Cu Kα
Structure: a cell relaxed with GGA-PBE
No peak broadening, texture or thermal motion is included.

Structure:
Cell: 7.7314 7.7314 7.7314 Å, 90.00 90.00 90.00°
Space group Pm-3n (No. 223)
Asymmetric unit:
Y: 0.0000 0.0000 0.0000
Mg: 0.0000 0.2500 0.5000
In: 0.0000 0.5000 0.2500

Principal peaks in the range 2θ from 10° to 80°, sorted by position:
2θ (°)	d [Å]	I_rel
23.01	3.866	42
25.77	3.458	76
28.27	3.156	100
40.41	2.232	26
42.14	2.144	20
43.81	2.066	59
47.01	1.933	30
54.38	1.687	19

[5]
Computed PXRD pattern
Compound: Y4Mg3In
Radiation: Cu Kα
Structure: a cell relaxed with GGA-PBE
No peak broadening, texture or thermal motion is included.

Structure:
Cell: 5.3508 5.3508 26.2689 Å, 90.00 90.00 120.00°
Space group R-3m (No. 166, hexagonal axes)
Asymmetric unit:
Y: 0.0000 0.0000 0.1246
Y: 0.0000 0.0000 0.3748
Mg: 0.0000 0.0000 0.2472
Mg: 0.0000 0.0000 0.5000
In: 0.0000 0.0000 0.0000

Principal peaks in the range 2θ from 10° to 80°, sorted by position:
2θ (°)	d [Å]	I_rel
10.10	8.756	7
20.31	4.372	6
23.50	3.786	12
33.47	2.677	100
48.06	1.893	18
59.82	1.546	27
59.88	1.545	9
70.38	1.338	5

[6]
Computed PXRD pattern
Compound: Y2MgIn9
Radiation: Cu Kα
Structure: a cell relaxed with GGA-PBE
No peak broadening, texture or thermal motion is included.

Structure:
Cell: 4.6514 4.6514 13.8716 Å, 90.00 90.00 90.00°
Space group P4/mmm (No. 123)
Asymmetric unit:
Y: 0.0000 0.0000 0.1656
Mg: 0.0000 0.0000 0.5000
In: 0.0000 0.5000 0.0000
In: 0.0000 0.5000 0.3389
In: 0.5000 0.5000 0.1672
In: 0.5000 0.5000 0.5000

Principal peaks in the range 2θ from 10° to 80°, sorted by position:
2θ (°)	d [Å]	I_rel
33.43	2.680	100
38.72	2.326	33
38.96	2.312	16
55.91	1.645	11
56.09	1.640	22
66.73	1.402	25
67.06	1.396	12
70.24	1.340	11

[7]
Computed PXRD pattern
Compound: YMg7Zn2In
Radiation: Cu Kα
Structure: a cell relaxed with GGA-PBE
No peak broadening, texture or thermal motion is included.

Structure:
Cell: 4.9707 4.9707 28.9785 Å, 90.00 90.00 90.00°
Space group I-4m2 (No. 119)
Asymmetric unit:
Y: 0.0000 0.0000 0.0000
Mg: 0.0000 0.0000 0.1345
Mg: 0.0000 0.0000 0.3221
Mg: 0.0000 0.5000 0.0709
Mg: 0.0000 0.5000 0.2500
Zn: 0.0000 0.5000 0.1604
In: 0.0000 0.5000 0.7500

Principal peaks in the range 2θ from 10° to 80°, sorted by position:
2θ (°)	d [Å]	I_rel
18.11	4.899	50
20.09	4.420	100
23.58	3.773	67
26.09	3.416	76
28.05	3.181	70
31.48	2.842	39
36.14	2.485	90
40.34	2.236	54

[8]
Computed PXRD pattern
Compound: Mg4ZnIn7
Radiation: Cu Kα
Structure: a cell relaxed with GGA-PBE
No peak broadening, texture or thermal motion is included.

Structure:
Cell: 3.4115 3.4115 28.6012 Å, 90.00 90.00 120.00°
Space group P-3m1 (No. 164)
Asymmetric unit:
Mg: 0.3333 0.6667 0.1573
Mg: 0.3333 0.6667 0.4145
Zn: 0.0000 0.0000 0.0000
In: 0.0000 0.0000 0.2421
In: 0.0000 0.0000 0.5000
In: 0.3333 0.6667 0.6699
In: 0.3333 0.6667 0.9265

Principal peaks in the range 2θ from 10° to 80°, sorted by position:
2θ (°)	d [Å]	I_rel
21.75	4.086	13
31.71	2.822	13
32.80	2.731	100
37.74	2.383	18
39.57	2.277	58
53.74	1.706	24
64.40	1.447	13
67.53	1.387	18